Starting from DFT lattice parameters and positions (PBE), the X-ray diffraction stick pattern of Pm2Tm3Tl3 was calculated for CuKα.

Structural model:
Unit cell a=4.929 b=5.019 c=9.157 alpha=90.00 beta=90.00 gamma=90.00
Sites, in units of the cell vectors:
Pm  0.000  0.000  0.245
Pm  0.000  0.000  0.755
Tm  0.500  0.000  0.500
Tm  0.500  0.500  0.231
Tm  0.500  0.500  0.769
Tl  0.000  0.500  0.000
Tl  0.000  0.500  0.500
Tl  0.500  0.000  0.000

The 8 most intense peaks (2θ from 10° to 80°), most intense first:
Position (°2θ)	intensity
32.09	100
35.78	19
36.46	18
61.98	15
62.88	15
39.36	14
52.01	13
67.12	12

Starting from DFT lattice parameters and positions (PBE), the X-ray diffraction stick pattern of Pm6TmTl6 was calculated for CuKα.

Structural model:
Unit cell a=6.522 b=6.522 c=10.856 alpha=90.00 beta=90.00 gamma=120.00
Sites, in units of the cell vectors:
Pm  0.000  0.000  0.170
Pm  0.000  0.000  0.830
Pm  0.333  0.667  0.000
Pm  0.333  0.667  0.500
Pm  0.667  0.333  0.000
Pm  0.667  0.333  0.500
Tm  0.000  0.000  0.500
Tl  0.000  0.500  0.253
Tl  0.000  0.500  0.747
Tl  0.500  0.000  0.253
Tl  0.500  0.000  0.747
Tl  0.500  0.500  0.253
Tl  0.500  0.500  0.747

The 8 most intense peaks (2θ from 10° to 80°), most intense first:
Position (°2θ)	intensity
35.84	100
32.02	62
31.68	59
56.43	32
33.00	32
66.95	25
58.32	24
46.40	20

Starting from DFT lattice parameters and positions (PBE), the X-ray diffraction stick pattern of PmTm4Tl7 was calculated for CuKα.

Structural model:
Unit cell a=7.273 b=7.273 c=11.316 alpha=120.88 beta=120.88 gamma=46.37
Sites, in units of the cell vectors:
Pm  0.000  0.000  0.000
Tm  0.282  0.282  0.672
Tm  0.416  0.416  0.217
Tm  0.584  0.584  0.783
Tm  0.718  0.718  0.328
Tl  0.080  0.080  0.332
Tl  0.214  0.214  0.894
Tl  0.364  0.364  0.452
Tl  0.500  0.500  0.000
Tl  0.636  0.636  0.548
Tl  0.786  0.786  0.106
Tl  0.920  0.920  0.668

The 8 most intense peaks (2θ from 10° to 80°), most intense first:
Position (°2θ)	intensity
34.40	100
31.23	93
37.62	62
32.05	51
28.72	41
45.36	40
37.88	37
42.94	26

Starting from DFT lattice parameters and positions (PBE), the X-ray diffraction stick pattern of Pm7Tm12Tl was calculated for CuKα.

Structural model:
Unit cell a=8.688 b=8.688 c=8.688 alpha=89.42 beta=89.42 gamma=89.42
Sites, in units of the cell vectors:
Pm  0.000  0.000  0.000
Pm  0.123  0.268  0.718
Pm  0.268  0.718  0.123
Pm  0.282  0.877  0.732
Pm  0.718  0.123  0.268
Pm  0.732  0.282  0.877
Pm  0.877  0.732  0.282
Tm  0.039  0.378  0.159
Tm  0.159  0.039  0.378
Tm  0.165  0.609  0.495
Tm  0.378  0.159  0.039
Tm  0.391  0.505  0.835
Tm  0.495  0.165  0.609
Tm  0.505  0.835  0.391
Tm  0.609  0.495  0.165
Tm  0.622  0.841  0.961
Tm  0.835  0.391  0.505
Tm  0.841  0.961  0.622
Tm  0.961  0.622  0.841
Tl  0.500  0.500  0.500

The 8 most intense peaks (2θ from 10° to 80°), most intense first:
Position (°2θ)	intensity
31.02	100
32.49	69
32.70	53
30.88	27
34.01	27
30.60	26
54.08	21
53.70	17